Structure and simulated powder XRD pattern of NaMg6SiO8 (a cell relaxed with GGA-PBE; a wavelength of 1.5418 Å).

Top 10 peaks for 2θ from 10° to 90°, low angle first:
2θ (°)  d (Å)  I/Imax  (hkl)
36.17  2.484  16  1 1 2
41.52  2.175  100  2 0 0
42.96  2.105  42  0 0 4
43.65  2.073  1  1 1 3
60.17  1.538  28  2 2 0
61.28  1.513  50  2 0 4
62.91  1.477  2  1 1 5
72.26  1.308  7  3 1 2
74.28  1.277  4  1 1 6
76.75  1.242  23  2 2 4

Structure:
abc: 4.350 4.350 8.421
angles: 90.00 90.00 90.00
Sites, in units of the cell vectors:
Na (0.000, 0.000, 0.000)
Mg (0.000, 0.500, 0.242)
Mg (0.000, 0.500, 0.758)
Mg (0.500, 0.000, 0.242)
Mg (0.500, 0.000, 0.758)
Mg (0.500, 0.500, 0.000)
Mg (0.500, 0.500, 0.500)
Si (0.000, 0.000, 0.500)
O (0.000, 0.000, 0.282)
O (0.000, 0.000, 0.718)
O (0.000, 0.500, 0.000)
O (0.000, 0.500, 0.500)
O (0.500, 0.000, 0.000)
O (0.500, 0.000, 0.500)
O (0.500, 0.500, 0.253)
O (0.500, 0.500, 0.747)